Entry 1:
Ba4Sr11: computed powder XRD pattern (λ = 1.5418 Å (Cu Kα)), based on DFT lattice parameters and positions (GGA-PBE).
Kinematic intensities with the Lorentz-polarization factor, no thermal factor.

Most intense lines, 2θ from 10° to 90°, in order of rising 2θ:
- 2θ = 22.74°, I = 25.0
- 2θ = 24.68°, I = 73.7
- 2θ = 25.41°, I = 35.3
- 2θ = 25.74°, I = 30.6
- 2θ = 26.44°, I = 55.1
- 2θ = 27.22°, I = 100.0
- 2θ = 27.89°, I = 48.5
- 2θ = 42.80°, I = 29.0
- 2θ = 43.23°, I = 24.8
- 2θ = 44.34°, I = 19.8

Structural model:
```
Ba4Sr11
1.0
14.8736 0.0000 0.0000
0.0000 14.8736 0.0000
0.0000 0.0000 7.8202
Ba Sr
8 22
Direct
0.0406 0.3660 0.0000
0.1340 0.5406 0.5000
0.3660 0.0406 0.0000
0.4594 0.8660 0.5000
0.5406 0.1340 0.5000
0.6340 0.9594 0.0000
0.8660 0.4594 0.5000
0.9594 0.6340 0.0000
0.0000 0.0000 0.5000
0.0688 0.2590 0.5000
0.0980 0.0980 0.0000
0.1794 0.8206 0.2487
0.1794 0.8206 0.7513
0.2410 0.5688 0.0000
0.2590 0.0688 0.5000
0.3206 0.3206 0.2513
0.3206 0.3206 0.7487
0.4020 0.5980 0.5000
0.4312 0.7590 0.0000
0.5000 0.5000 0.0000
0.5688 0.2410 0.0000
0.5980 0.4020 0.5000
0.6794 0.6794 0.2513
0.6794 0.6794 0.7487
0.7410 0.9312 0.5000
0.7590 0.4312 0.0000
0.8206 0.1794 0.2487
0.8206 0.1794 0.7513
0.9020 0.9020 0.0000
0.9312 0.7410 0.5000
```

Entry 2:
KTbEuNbO6: computed powder XRD pattern (λ = 1.5418 Å (Cu Kα)), based on DFT lattice parameters and positions (GGA-PBE).
Kinematic intensities with the Lorentz-polarization factor, no thermal factor.

Most intense lines, 2θ from 10° to 90°, in order of rising 2θ:
- 2θ = 14.76°, I = 20.9
- 2θ = 29.77°, I = 51.1
- 2θ = 29.91°, I = 100.0
- 2θ = 42.61°, I = 31.9
- 2θ = 43.01°, I = 15.6
- 2θ = 52.93°, I = 40.9
- 2θ = 53.19°, I = 20.1
- 2θ = 62.15°, I = 19.2
- 2θ = 70.16°, I = 17.9
- 2θ = 85.92°, I = 10.8

Structural model:
```
KTbEuNbO6
1.0
6.0018 0.0000 0.0000
0.0000 6.0018 0.0000
0.0000 0.0000 8.4113
K Tb Eu Nb O
2 2 2 2 12
Direct
0.0000 0.0000 0.2500
0.0000 0.0000 0.7500
0.0000 0.5000 0.0000
0.5000 0.0000 0.5000
0.5000 0.5000 0.2500
0.5000 0.5000 0.7500
0.0000 0.5000 0.5000
0.5000 0.0000 0.0000
0.0000 0.5000 0.2638
0.0000 0.5000 0.7362
0.2538 0.2795 0.5000
0.2538 0.7205 0.5000
0.2795 0.2538 0.0000
0.2795 0.7462 0.0000
0.5000 0.0000 0.2362
0.5000 0.0000 0.7638
0.7205 0.2538 0.0000
0.7205 0.7462 0.0000
0.7462 0.2795 0.5000
0.7462 0.7205 0.5000
```

Entry 3:
Sm8Cu2Te: computed powder XRD pattern (λ = 1.5418 Å (Cu Kα)), based on DFT lattice parameters and positions (GGA-PBE).
Kinematic intensities with the Lorentz-polarization factor, no thermal factor.

Most intense lines, 2θ from 10° to 90°, in order of rising 2θ:
- 2θ = 26.06°, I = 17.2
- 2θ = 30.31°, I = 56.4
- 2θ = 31.12°, I = 76.4
- 2θ = 32.62°, I = 100.0
- 2θ = 34.01°, I = 57.7
- 2θ = 37.33°, I = 27.2
- 2θ = 37.88°, I = 19.6
- 2θ = 52.42°, I = 19.6
- 2θ = 57.85°, I = 22.7
- 2θ = 63.23°, I = 20.4

Structural model:
```
Sm8Cu2Te
1.0
4.3455 -6.7865 0.0000
4.3455 6.7865 0.0000
-1.5039 0.0000 5.4048
Sm Cu Te
8 2 1
Direct
0.0760 0.3198 0.5935
0.2449 0.7551 0.0000
0.3198 0.0760 0.5935
0.3964 0.3964 0.1980
0.6036 0.6036 0.8020
0.6802 0.9240 0.4065
0.7551 0.2449 0.0000
0.9240 0.6802 0.4065
0.3100 0.6900 0.5000
0.6900 0.3100 0.5000
0.0000 0.0000 0.0000
```

Entry 4:
ZrBi5: computed powder XRD pattern (λ = 1.5418 Å (Cu Kα)), based on DFT lattice parameters and positions (GGA-PBE).
Kinematic intensities with the Lorentz-polarization factor, no thermal factor.

Most intense lines, 2θ from 10° to 90°, in order of rising 2θ:
- 2θ = 31.73°, I = 20.6
- 2θ = 31.99°, I = 100.0
- 2θ = 33.99°, I = 22.9
- 2θ = 44.52°, I = 11.0
- 2θ = 47.18°, I = 14.0
- 2θ = 55.70°, I = 11.0
- 2θ = 56.69°, I = 11.4
- 2θ = 57.17°, I = 10.8
- 2θ = 59.57°, I = 17.6
- 2θ = 66.88°, I = 10.1

Structural model:
```
ZrBi5
1.0
2.0353 -8.4594 0.0000
2.0353 8.4594 0.0000
0.0000 0.0000 5.2752
Zr Bi
1 5
Direct
0.0000 0.0000 0.0000
0.1552 0.8448 0.5000
0.3533 0.6467 0.0000
0.5000 0.5000 0.5000
0.6467 0.3533 0.0000
0.8448 0.1552 0.5000
```